1.
LiLa2Rh: simulated X-ray powder pattern (Cu Kα), based on a structure optimized by DFT (GGA-PBE).
Lines closer than 0.1° are merged.

Crystal structure
```
data_LiLa2Rh
_space_group_name_H-M_alt 'P 1'
_space_group_IT_number 1
_cell_length_a 4.476
_cell_length_b 5.950
_cell_length_c 5.950
_cell_angle_alpha 40.18
_cell_angle_beta 90.00
_cell_angle_gamma 90.00
loop_
_space_group_symop_operation_xyz
'x,y,z'
loop_
_atom_site_label
_atom_site_fract_x
_atom_site_fract_y
_atom_site_fract_z
Li1 0.000 0.000 0.000
La1 0.000 0.700 0.700
La2 0.500 0.424 0.424
Rh1 0.500 0.137 0.137
```

Top 8 peaks for 5° ≤ 2θ ≤ 70°, by angle:
2theta  I_rel
25.50  38
30.68  100
32.03  28
32.52  42
38.38  46
40.30  23
44.32  18
52.71  21

2.
LiLa2Ru: simulated X-ray powder pattern (Cu Kα), based on a structure optimized by DFT (GGA-PBE).
Lines closer than 0.1° are merged.

Crystal structure
```
data_LiLa2Ru
_space_group_name_H-M_alt 'P 1'
_space_group_IT_number 1
_cell_length_a 4.581
_cell_length_b 5.838
_cell_length_c 5.838
_cell_angle_alpha 40.18
_cell_angle_beta 90.00
_cell_angle_gamma 90.00
loop_
_space_group_symop_operation_xyz
'x,y,z'
loop_
_atom_site_label
_atom_site_fract_x
_atom_site_fract_y
_atom_site_fract_z
Li1 0.000 0.000 0.000
La1 0.000 0.701 0.701
La2 0.500 0.434 0.434
Ru1 0.500 0.132 0.132
```

Top 8 peaks for 5° ≤ 2θ ≤ 70°, by angle:
2theta  I_rel
25.33  50
30.73  100
32.66  26
33.16  45
38.69  54
39.34  27
45.22  18
52.37  24

3.
LiLa2Ru: simulated X-ray powder pattern (Cu Kα), based on a structure optimized by DFT (GGA-PBE).
Lines closer than 0.1° are merged.

Crystal structure
```
data_LiLa2Ru
_space_group_name_H-M_alt 'P 1'
_space_group_IT_number 1
_cell_length_a 4.092
_cell_length_b 4.092
_cell_length_c 9.168
_cell_angle_alpha 103.08
_cell_angle_beta 103.08
_cell_angle_gamma 60.01
loop_
_space_group_symop_operation_xyz
'x,y,z'
loop_
_atom_site_label
_atom_site_fract_x
_atom_site_fract_y
_atom_site_fract_z
Li1 0.000 0.000 0.000
La1 0.226 0.226 0.675
La2 0.774 0.774 0.325
Ru1 0.500 0.500 0.500
```

Top 8 peaks for 5° ≤ 2θ ≤ 70°, by angle:
2theta  I_rel
10.00  100
26.02  16
28.55  59
34.64  38
44.27  24
45.45  24
45.55  12
53.52  10

4.
LiLaS3: simulated X-ray powder pattern (Cu Kα), based on a structure optimized by DFT (GGA-PBE).
Lines closer than 0.1° are merged.

Crystal structure
```
data_LiLaS3
_space_group_name_H-M_alt 'P 1'
_space_group_IT_number 1
_cell_length_a 7.174
_cell_length_b 4.455
_cell_length_c 12.743
_cell_angle_alpha 90.00
_cell_angle_beta 90.00
_cell_angle_gamma 90.00
loop_
_space_group_symop_operation_xyz
'x,y,z'
loop_
_atom_site_label
_atom_site_fract_x
_atom_site_fract_y
_atom_site_fract_z
Li1 0.102 0.250 0.128
Li2 0.398 0.750 0.628
Li3 0.602 0.250 0.372
Li4 0.898 0.750 0.872
La1 0.150 0.750 0.337
La2 0.350 0.250 0.837
La3 0.650 0.750 0.163
La4 0.850 0.250 0.663
S1 0.083 0.750 0.095
S2 0.110 0.750 0.728
S3 0.177 0.250 0.501
S4 0.323 0.750 0.001
S5 0.390 0.250 0.228
S6 0.417 0.250 0.595
S7 0.583 0.750 0.405
S8 0.610 0.750 0.772
S9 0.677 0.250 0.999
S10 0.823 0.750 0.499
S11 0.890 0.250 0.272
S12 0.917 0.250 0.905
```

Top 8 peaks for 5° ≤ 2θ ≤ 70°, by angle:
2theta  I_rel
18.63  44
21.13  61
25.80  37
31.66  100
32.03  57
35.07  39
40.50  33
40.79  23